This entry pairs a crystal structure of CsAgMoO4 with its simulated PXRD pattern. Radiation: a wavelength of 1.5418 Å. Structure: a crystal structure in Alexandria, relaxed with PBE+U.

Structural model:
a = 9.333 Å, b = 9.333 Å, c = 9.333 Å
α = 90.00°, β = 90.00°, γ = 90.00°
Space group F-43m (No. 216)
Asymmetric unit:
Cs1 0.000 0.000 0.000 x4
Ag1 0.250 0.250 0.250 x4
Mo1 0.000 0.000 0.500 x4
O1 0.111 0.111 0.389 x16

Peak list (8 most intense, 2θ from 5° to 70°, low angle first)
two_theta	Rel. int.	hkl
16.45	33	1 1 1
19.02	17	2 0 0
27.02	100	2 2 0
31.80	12	3 1 1
38.59	13	4 0 0
47.74	40	4 2 2
55.71	16	4 4 0
62.99	17	6 2 0